Computed XRD peak list
Compound: TmCoNiB2
Radiation: copper Kα
Structure: a GGA-PBE-relaxed structure
Kinematic intensities with the Lorentz-polarization factor, no thermal factor.

```
TmCoNiB2
1.0
-1.757 1.757 4.517
1.757 -1.757 4.517
1.757 1.757 -4.517
Tm Co Ni B
1 1 1 2
direct
0.000 0.000 0.000 Tm
0.250 0.750 0.500 Co
0.750 0.250 0.500 Ni
0.374 0.374 0.000 B
0.626 0.626 0.000 B
```

Most intense lines, 2θ from 15° to 90°, in order of rising 2θ:
2θ 27.2, rel. 85; 2θ 39.4, rel. 43; 2θ 39.9, rel. 25; 2θ 41.5, rel. 100; 2θ 52.0, rel. 28; 2θ 57.3, rel. 14; 2θ 59.7, rel. 20; 2θ 67.2, rel. 18; 2θ 67.5, rel. 21; 2θ 73.5, rel. 18; 2θ 76.7, rel. 9; 2θ 81.1, rel. 10